Starting from a DFT-relaxed cell (PBE, the Materials Project), the XRD peak list of TaNbTe4 was computed for Cu Kα.

Cell and atoms:
Unit cell a=7.355 b=7.791 c=9.919 alpha=110.34 beta=100.70 gamma=103.48
Space group P1 (No. 1)
Asymmetric unit:
Ta: 0.000 0.000 0.000 x1
Ta: 0.174 0.986 0.711 x1
Ta: 0.673 0.986 0.711 x1
Nb: 0.348 0.972 0.423 x1
Nb: 0.500 0.000 0.999 x1
Nb: 0.848 0.972 0.423 x1
Te: 0.024 0.691 0.405 x1
Te: 0.129 0.191 0.328 x1
Te: 0.218 0.782 0.094 x1
Te: 0.322 0.281 0.018 x1
Te: 0.358 0.707 0.723 x1
Te: 0.490 0.265 0.699 x1
Te: 0.525 0.691 0.405 x1
Te: 0.629 0.190 0.328 x1
Te: 0.719 0.782 0.094 x1
Te: 0.824 0.281 0.018 x1
Te: 0.858 0.707 0.725 x1
Te: 0.990 0.265 0.699 x1

Top 12 peaks for 10° ≤ 2θ ≤ 90°, in order of rising 2θ:
index, d [Å], intensity
0 1 0, 6.914, 51
0 0 3, 2.965, 44
2 -2 1, 2.892, 100
0 1 3, 2.392, 20
-2 2 2, 2.361, 33
0 3 -3, 2.341, 22
0 3 0, 2.306, 10
2 2 1, 1.882, 9
-2 3 2, 1.877, 9
2 1 -5, 1.866, 11
2 -2 4, 1.865, 12
-4 1 1, 1.839, 17